Record 1
Simulated XRD peak list
Compound: Ba3Zn5In2O11
Radiation: Cu Kα X-rays
Structure: a crystal structure in OQMD, relaxed with PBE
Lines closer than 0.1° are merged.

Atomic structure:
```
data_Ba3Zn5In2O11
_chemical_formula_sum 'Ba24 Zn40 In16 O88'
_symmetry_space_group_name_H-M 'F -4 3 m'
_symmetry_Int_Tables_number 216
_symmetry_space_group_name_Hall 'F -4 2 3'
_cell_length_a 13.3952
_cell_length_b 13.3952
_cell_length_c 13.3952
_cell_angle_alpha 90.00
_cell_angle_beta 90.00
_cell_angle_gamma 90.00
loop_
_atom_site_label
_atom_site_fract_x
_atom_site_fract_y
_atom_site_fract_z
_atom_site_occupancy
Ba1 0.0000 0.0000 0.2058 1
Zn1 0.0819 0.2500 0.2500 1
Zn2 0.0831 0.0831 0.4169 1
In1 0.1654 0.1654 0.6654 1
O1 0.0000 0.0000 0.0000 1
O2 0.0000 0.0000 0.5000 1
O3 0.0029 0.1657 0.6657 1
O4 0.1571 0.1571 0.1571 1
O5 0.1673 0.1673 0.8327 1
```

Main lines, in order of rising 2θ (2θ = 15–90°):
2θ (°), Rel. int., (hkl)
29.06, 48, 3 3 1
32.75, 83, 4 2 2
34.80, 100, 3 3 3
38.00, 27, 4 4 0
58.46, 71, 6 6 0
69.87, 22, 7 7 1

Record 2
Simulated XRD peak list
Compound: MgCd2S3
Radiation: Cu Kα X-rays
Structure: a crystal structure in OQMD, relaxed with PBE
Lines closer than 0.1° are merged.

Atomic structure:
```
data_MgCd2S3
_chemical_formula_sum 'Mg4 Cd8 S12'
_symmetry_space_group_name_H-M 'C m c m'
_symmetry_Int_Tables_number 63
_symmetry_space_group_name_Hall '-C 2c 2'
_cell_length_a 3.6833
_cell_length_b 12.8587
_cell_length_c 11.1407
_cell_angle_alpha 90.00
_cell_angle_beta 90.00
_cell_angle_gamma 90.00
loop_
_atom_site_label
_atom_site_fract_x
_atom_site_fract_y
_atom_site_fract_z
_atom_site_occupancy
Mg1 0.0000 0.2181 0.2500 1
Cd1 0.0000 0.0000 0.0000 1
Cd2 0.0000 0.4937 0.2500 1
S1 0.0000 0.1411 0.7500 1
S2 0.0000 0.3696 0.5857 1
```

Main lines, in order of rising 2θ (2θ = 15–90°):
2θ (°), Rel. int., (hkl)
27.75, 24, 0 4 0
29.90, 61, 1 1 2
32.14, 25, 0 0 4
35.10, 28, 0 2 4
35.96, 100, 1 3 2
46.02, 32, 1 5 2

Record 3
Simulated XRD peak list
Compound: Er5Te3Os
Radiation: Cu Kα X-rays
Structure: a crystal structure in OQMD, relaxed with PBE
Lines closer than 0.1° are merged.

Atomic structure:
```
data_Er5Te3Os
_chemical_formula_sum 'Er5 Te3 Os1'
_symmetry_space_group_name_H-M 'P -6 2 m'
_symmetry_Int_Tables_number 189
_symmetry_space_group_name_Hall 'P -6 -2'
_cell_length_a 8.6226
_cell_length_b 8.6226
_cell_length_c 3.7556
_cell_angle_alpha 90.00
_cell_angle_beta 90.00
_cell_angle_gamma 120.00
loop_
_atom_site_label
_atom_site_fract_x
_atom_site_fract_y
_atom_site_fract_z
_atom_site_occupancy
Er1 0.0000 0.2294 0.0000 1
Er2 0.3333 0.6667 0.0000 1
Te1 0.0000 0.5699 0.5000 1
Os1 0.0000 0.0000 0.5000 1
```

Main lines, in order of rising 2θ (2θ = 15–90°):
2θ (°), Rel. int., (hkl)
31.59, 52, 1 1 1
31.70, 64, 2 1 0
33.85, 100, 2 0 1
36.08, 26, 3 0 0
39.96, 57, 2 1 1
59.29, 30, 3 2 1

Record 4
Simulated XRD peak list
Compound: KHfAg3Te4
Radiation: Cu Kα X-rays
Structure: a crystal structure in OQMD, relaxed with PBE
Lines closer than 0.1° are merged.

Atomic structure:
```
data_KHfAg3Te4
_chemical_formula_sum 'K1 Hf1 Ag3 Te4'
_symmetry_space_group_name_H-M 'P -4 3 m'
_symmetry_Int_Tables_number 215
_symmetry_space_group_name_Hall 'P -4 2 3'
_cell_length_a 6.8634
_cell_length_b 6.8634
_cell_length_c 6.8634
_cell_angle_alpha 90.00
_cell_angle_beta 90.00
_cell_angle_gamma 90.00
loop_
_atom_site_label
_atom_site_fract_x
_atom_site_fract_y
_atom_site_fract_z
_atom_site_occupancy
K1 0.0000 0.0000 0.0000 1
Hf1 0.5000 0.5000 0.5000 1
Ag1 0.0000 0.5000 0.5000 1
Te1 0.2706 0.2706 0.2706 1
```

Main lines, in order of rising 2θ (2θ = 15–90°):
2θ (°), Rel. int., (hkl)
22.44, 66, 1 1 1
37.05, 100, 2 2 0
43.74, 29, 3 1 1
47.78, 17, 3 2 0
53.40, 16, 4 0 0
66.77, 30, 4 2 2